Computed powder diffractogram
Compound: CaSnO3
Radiation: Cu Kα (λ = 1.5418 Å)
Structure: a crystal structure in the Materials Project, relaxed with GGA-PBE

Structure:
abc: 4.0664 4.0664 4.0664
angles: 90.00 90.00 90.00
Space group Pm-3m (No. 221)
Unique sites:
Ca 0.0000 0.0000 0.0000 x1
Sn 0.5000 0.5000 0.5000 x1
O 0.0000 0.5000 0.5000 x3

Top 10 peaks for 10° ≤ 2θ ≤ 80°, low angle first:
21.86°, I = 50.4, (1 0 0); 31.10°, I = 100.0, (1 1 0); 38.34°, I = 1.8, (1 1 1); 44.56°, I = 37.8, (2 0 0); 50.16°, I = 23.2, (2 1 0); 55.34°, I = 40.7, (2 1 1); 64.85°, I = 22.9, (2 2 0); 69.33°, I = 11.5, (3 0 0); 73.67°, I = 18.1, (3 1 0); 77.92°, I = 2.1, (3 1 1)